Calculated X-ray diffraction stick pattern of CaErV2O8 for Cu Kα (weighted mean of Kα1 and Kα2), from DFT lattice parameters and positions (GGA+U).
Kinematic intensities with the Lorentz-polarization factor, no thermal factor.

Crystal structure
```
data_CaErV2O8
_cell_length_a 7.2545
_cell_length_b 7.2545
_cell_length_c 6.3903
_cell_angle_alpha 90.00
_cell_angle_beta 90.00
_cell_angle_gamma 90.00
_symmetry_space_group_name_H-M 'I -4 m 2'
_symmetry_Int_Tables_number 119
_symmetry_space_group_name_Hall 'I -4 -2'
loop_
_atom_site_label
_atom_site_type_symbol
_atom_site_fract_x
_atom_site_fract_y
_atom_site_fract_z
_atom_site_occupancy
Ca1 Ca 0.0000 0.0000 0.0000 1
Er1 Er 0.0000 0.5000 0.7500 1
V1 V 0.0000 0.0000 0.5000 1
V2 V 0.0000 0.5000 0.2500 1
O1 O 0.0000 0.1911 0.6645 1
O2 O 0.0000 0.3182 0.0729 1
```

Main lines, by angle (10 to 80 degrees two-theta):
- 17.29°, I 31, hkl 1 1 0
- 18.50°, I 43, hkl 1 0 1
- 24.54°, I 100, hkl 2 0 0
- 30.91°, I 17, hkl 2 1 1
- 33.03°, I 66, hkl 1 1 2
- 34.98°, I 17, hkl 2 2 0
- 39.86°, I 15, hkl 3 0 1
- 48.87°, I 57, hkl 3 1 2
- 50.31°, I 16, hkl 4 0 0
- 61.51°, I 17, hkl 3 3 2